No. 1
For Gd2Al6Si4Pt, a GGA-PBE-relaxed structure gives the simulated X-ray diffraction stick pattern in this record (copper Kα).
Kinematic intensities with the Lorentz-polarization factor, no thermal factor.

Most intense lines, 5° ≤ 2θ ≤ 70°, in order of rising 2θ:
two_theta	d/Å	intensity
5.2	16.910	35.2
15.7	5.637	55.4
24.8	3.588	40.0
26.1	3.414	31.3
27.5	3.242	100.0
35.0	2.563	27.4
37.7	2.387	57.6
43.2	2.093	59.9
46.3	1.962	23.0
48.3	1.884	25.1

Crystal structure
```
Gd2Al6Si4Pt
1.0
2.0929 1.2083 16.9104
-2.0929 1.2083 16.9104
0.0000 -2.4166 16.9104
Gd Al Si Pt
2 6 4 1
Cartesian
0.0000 0.0000 3.3446
0.0000 0.0000 47.3866
0.0000 0.0000 9.2395
0.0000 0.0000 15.9712
0.0000 0.0000 22.8036
0.0000 0.0000 27.9275
0.0000 0.0000 34.7600
0.0000 0.0000 41.4916
0.0000 0.0000 11.8657
0.0000 0.0000 18.4981
0.0000 0.0000 32.2330
0.0000 0.0000 38.8654
0.0000 0.0000 25.3656
```

=====

No. 2
For Gd2PuAl, a GGA-PBE-relaxed structure gives the simulated X-ray diffraction stick pattern in this record (copper Kα).
Kinematic intensities with the Lorentz-polarization factor, no thermal factor.

Most intense lines, 5° ≤ 2θ ≤ 70°, in order of rising 2θ:
two_theta	d/Å	intensity
8.4	10.505	51.2
25.4	3.502	20.4
29.8	3.002	18.0
31.8	2.817	100.0
32.9	2.721	22.3
34.1	2.626	23.5
37.6	2.395	60.3
52.6	1.741	25.1
55.7	1.649	15.2
64.2	1.451	23.1

Crystal structure
```
Gd2PuAl
1.0
1.7413 1.0053 10.5053
-1.7413 1.0053 10.5053
0.0000 -2.0106 10.5053
Gd Pu Al
2 1 1
Cartesian
0.0000 0.0000 7.6396
0.0000 0.0000 23.8764
0.0000 0.0000 0.0000
0.0000 0.0000 15.7580
```

=====

No. 3
For GdScAlRh, a GGA-PBE-relaxed structure gives the simulated X-ray diffraction stick pattern in this record (copper Kα).
Kinematic intensities with the Lorentz-polarization factor, no thermal factor.

Most intense lines, 5° ≤ 2θ ≤ 70°, in order of rising 2θ:
two_theta	d/Å	intensity
22.4	3.977	39.3
25.9	3.444	5.0
36.9	2.435	100.0
43.6	2.077	21.2
45.6	1.988	1.5
53.2	1.722	17.1
58.4	1.580	9.1
60.1	1.540	1.9
66.5	1.406	34.4

Crystal structure
```
GdScAlRh
1.0
0.0000 3.4441 3.4441
3.4441 0.0000 3.4441
3.4441 3.4441 0.0000
Gd Sc Al Rh
1 1 1 1
Cartesian
0.0000 0.0000 0.0000
3.4441 3.4441 3.4441
5.1662 5.1662 5.1662
1.7221 1.7221 1.7221
```

=====

No. 4
For Gd2ScAl, a GGA-PBE-relaxed structure gives the simulated X-ray diffraction stick pattern in this record (copper Kα).
Kinematic intensities with the Lorentz-polarization factor, no thermal factor.

Most intense lines, 5° ≤ 2θ ≤ 70°, in order of rising 2θ:
two_theta	d/Å	intensity
19.1	4.648	36.9
26.9	3.320	33.0
33.2	2.701	100.0
38.3	2.347	33.5
38.7	2.324	16.3
43.2	2.095	19.1
47.8	1.904	14.3
55.7	1.651	22.5
66.1	1.414	26.6
66.6	1.404	13.0

Crystal structure
```
Gd2ScAl
1.0
4.6947 0.0000 0.0000
0.0000 4.6947 0.0000
0.0000 0.0000 4.6478
Gd Sc Al
2 1 1
Cartesian
0.0000 2.3473 0.0000
2.3473 0.0000 0.0000
0.0000 0.0000 2.3239
2.3473 2.3473 2.3239
```

=====

No. 5
For SmGdThAl, a GGA-PBE-relaxed structure gives the simulated X-ray diffraction stick pattern in this record (copper Kα).
Kinematic intensities with the Lorentz-polarization factor, no thermal factor.

Most intense lines, 5° ≤ 2θ ≤ 70°, in order of rising 2θ:
two_theta	d/Å	intensity
20.1	4.425	15.7
23.2	3.832	14.0
33.1	2.710	100.0
39.0	2.311	9.1
40.8	2.213	4.5
47.4	1.916	18.4
52.0	1.758	4.1
53.5	1.714	6.3
59.0	1.565	38.6
69.4	1.355	11.9

Crystal structure
```
SmGdThAl
1.0
0.0000 3.8322 3.8322
3.8322 0.0000 3.8322
3.8322 3.8322 0.0000
Sm Gd Th Al
1 1 1 1
Cartesian
0.0000 0.0000 0.0000
1.9161 1.9161 1.9161
3.8322 3.8322 3.8322
5.7484 5.7484 5.7484
```

=====

No. 6
For GdTiAl4, a GGA-PBE-relaxed structure gives the simulated X-ray diffraction stick pattern in this record (copper Kα).
Kinematic intensities with the Lorentz-polarization factor, no thermal factor.

Most intense lines, 5° ≤ 2θ ≤ 70°, in order of rising 2θ:
two_theta	d/Å	intensity
20.2	4.395	53.8
23.4	3.806	24.5
33.3	2.691	72.4
39.3	2.295	100.0
41.1	2.198	15.4
52.4	1.746	13.7
53.9	1.702	10.9
59.5	1.554	26.4
63.5	1.465	31.9
69.9	1.346	19.0

Crystal structure
```
GdTiAl4
1.0
0.0000 3.8063 3.8063
3.8063 0.0000 3.8063
3.8063 3.8063 0.0000
Gd Ti Al
1 1 4
Cartesian
0.0000 0.0000 0.0000
5.7094 5.7094 5.7094
2.8574 2.8574 2.8574
4.7552 4.7552 2.8574
4.7552 2.8574 4.7552
2.8574 4.7552 4.7552
```

=====

Copy entry 3 word for word.
For GdScAlRh, a GGA-PBE-relaxed structure gives the simulated X-ray diffraction stick pattern in this record (copper Kα).
Kinematic intensities with the Lorentz-polarization factor, no thermal factor.

Most intense lines, 5° ≤ 2θ ≤ 70°, in order of rising 2θ:
two_theta	d/Å	intensity
22.4	3.977	39.3
25.9	3.444	5.0
36.9	2.435	100.0
43.6	2.077	21.2
45.6	1.988	1.5
53.2	1.722	17.1
58.4	1.580	9.1
60.1	1.540	1.9
66.5	1.406	34.4

Crystal structure
```
GdScAlRh
1.0
0.0000 3.4441 3.4441
3.4441 0.0000 3.4441
3.4441 3.4441 0.0000
Gd Sc Al Rh
1 1 1 1
Cartesian
0.0000 0.0000 0.0000
3.4441 3.4441 3.4441
5.1662 5.1662 5.1662
1.7221 1.7221 1.7221
```